Entry 1:
# BaNbN2O
Calculated X-ray powder pattern, Cu Ka. Input: a DFT-relaxed cell (PBE, OQMD).
Neutral-atom scattering factors, no anomalous dispersion.

```
data_BaNbN2O
_chemical_formula_sum 'Ba8 Nb8 N16 O8'
_space_group_name_H-M_alt 'I 4/m m m'
_space_group_IT_number 139
_space_group_name_Hall '-I 4 2'
_cell_length_a 8.3582
_cell_length_b 8.3582
_cell_length_c 8.3442
_cell_angle_alpha 90.00
_cell_angle_beta 90.00
_cell_angle_gamma 90.00
loop_
_atom_site_label
_atom_site_type_symbol
_atom_site_fract_x
_atom_site_fract_y
_atom_site_fract_z
_atom_site_occupancy
Ba1 Ba 0.0000 0.0000 0.2352 1
Ba2 Ba 0.0000 0.5000 0.2500 1
Nb1 Nb 0.2440 0.2440 0.5000 1
N1 N 0.0000 0.2472 0.5000 1
N2 N 0.2500 0.2500 0.2500 1
O1 O 0.0000 0.2501 0.0000 1
```

Largest 10 diffraction maxima, sorted by position, 5° ≤ 2θ ≤ 70°:
hkl 2 0 0, 21.3°, intensity 1; hkl 2 0 2, 30.3°, intensity 100; hkl 1 0 3, 33.9°, intensity 1; hkl 2 2 2, 37.3°, intensity 5; hkl 4 0 0, 43.3°, intensity 29; hkl 4 2 0, 48.7°, intensity 1; hkl 3 2 3, 51.3°, intensity 1; hkl 4 2 2, 53.8°, intensity 39; hkl 1 0 5, 56.2°, intensity 1; hkl 4 4 0, 62.9°, intensity 18

---

Entry 2:
# RbCu2
Calculated X-ray powder pattern, Cu Ka. Input: a DFT-relaxed cell (PBE, OQMD).
Neutral-atom scattering factors, no anomalous dispersion.

Lattice parameters (Å, degrees): 7.8873 7.8873 7.8873 90.00 90.00 90.00
Space group Fd-3m (No. 227, origin choice 2)
One atom of each set of equivalent atoms:
Rb  0.1250  0.1250  0.1250
Cu  0.0000  0.0000  0.5000

Largest 8 diffraction maxima, sorted by position, 5° ≤ 2θ ≤ 70°:
hkl 1 1 1, 19.5°, intensity 1; hkl 2 2 0, 32.1°, intensity 35; hkl 3 1 1, 37.8°, intensity 100; hkl 2 2 2, 39.6°, intensity 33; hkl 4 0 0, 46.0°, intensity 2; hkl 4 2 2, 57.2°, intensity 13; hkl 5 1 1, 61.0°, intensity 31; hkl 4 4 0, 67.1°, intensity 25

---

Entry 3:
# ZnHgI4
Calculated X-ray powder pattern, Cu Ka. Input: a DFT-relaxed cell (PBE, OQMD).
Neutral-atom scattering factors, no anomalous dispersion.

```
data_ZnHgI4
_chemical_formula_sum 'Zn1 Hg1 I4'
_space_group_name_H-M_alt 'P -4 m 2'
_space_group_IT_number 115
_cell_length_a 4.3448
_cell_length_b 4.3448
_cell_length_c 13.3759
_cell_angle_alpha 90.00
_cell_angle_beta 90.00
_cell_angle_gamma 90.00
loop_
_space_group_symop_operation_xyz
'x,y,z'
'y,-x,-z'
'-x,-y,z'
'-y,x,-z'
'-x,y,z'
'-y,-x,-z'
'x,-y,z'
'y,x,-z'
loop_
_atom_site_label
_atom_site_type_symbol
_atom_site_fract_x
_atom_site_fract_y
_atom_site_fract_z
_atom_site_occupancy
Zn1 Zn 0.0000 0.0000 0.0000 1
Hg1 Hg 0.5000 0.5000 0.5000 1
I1 I 0.0000 0.5000 0.3622 1
I2 I 0.0000 0.5000 0.8824 1
```

Largest 10 diffraction maxima, sorted by position, 5° ≤ 2θ ≤ 70°:
hkl 0 0 1, 6.6°, intensity 16; hkl 0 0 2, 13.2°, intensity 24; hkl 1 0 1, 21.5°, intensity 37; hkl 1 0 2, 24.4°, intensity 100; hkl 1 0 3, 28.7°, intensity 20; hkl 1 1 2, 32.1°, intensity 16; hkl 1 1 4, 39.8°, intensity 59; hkl 2 0 0, 41.6°, intensity 27; hkl 1 0 6, 45.7°, intensity 16; hkl 2 1 2, 48.8°, intensity 30

---

Entry 4:
# RbP5Os3
Calculated X-ray powder pattern, Cu Ka. Input: a DFT-relaxed cell (PBE, OQMD).
Neutral-atom scattering factors, no anomalous dispersion.

```
data_RbP5Os3
_chemical_formula_sum 'Rb1 P5 Os3'
_space_group_name_H-M_alt 'P 6/m m m'
_space_group_IT_number 191
_space_group_name_Hall '-P 6 2'
_cell_length_a 5.5295
_cell_length_b 5.5295
_cell_length_c 7.4104
_cell_angle_alpha 90.00
_cell_angle_beta 90.00
_cell_angle_gamma 120.00
loop_
_atom_site_label
_atom_site_type_symbol
_atom_site_fract_x
_atom_site_fract_y
_atom_site_fract_z
_atom_site_occupancy
Rb1 Rb 0.0000 0.0000 0.0000 1
P1 P 0.0000 0.0000 0.5000 1
P2 P 0.3333 0.6667 0.2599 1
Os1 Os 0.0000 0.5000 0.5000 1
```

Largest 10 diffraction maxima, sorted by position, 5° ≤ 2θ ≤ 70°:
hkl 0 0 1, 11.9°, intensity 100; hkl 1 0 1, 22.1°, intensity 34; hkl 0 0 2, 24.0°, intensity 24; hkl 1 1 1, 34.6°, intensity 10; hkl 2 0 0, 37.6°, intensity 28; hkl 2 0 1, 39.6°, intensity 32; hkl 2 0 2, 45.1°, intensity 48; hkl 2 0 3, 53.3°, intensity 15; hkl 2 0 4, 63.5°, intensity 14; hkl 2 2 0, 67.8°, intensity 8

---

Entry 5:
# KTbZnSe3
Calculated X-ray powder pattern, Cu Ka. Input: a DFT-relaxed cell (PBE, OQMD).
Neutral-atom scattering factors, no anomalous dispersion.

```
data_KTbZnSe3
_chemical_formula_sum 'K2 Tb2 Zn2 Se6'
_space_group_name_H-M_alt 'P 1 21/m 1'
_space_group_IT_number 11
_cell_length_a 8.7137
_cell_length_b 4.1454
_cell_length_c 10.2552
_cell_angle_alpha 90.00
_cell_angle_beta 108.50
_cell_angle_gamma 90.00
loop_
_space_group_symop_operation_xyz
'x,y,z'
'-x,-y,-z'
'-x,y+1/2,-z'
'x,-y+1/2,z'
loop_
_atom_site_label
_atom_site_type_symbol
_atom_site_fract_x
_atom_site_fract_y
_atom_site_fract_z
_atom_site_occupancy
K1 K 0.2402 0.2500 0.2695 1
Tb1 Tb 0.3181 0.7500 0.8633 1
Zn1 Zn 0.0803 0.2500 0.6082 1
Se1 Se 0.0816 0.2500 0.8456 1
Se2 Se 0.2153 0.7500 0.5491 1
Se3 Se 0.4590 0.7500 0.1518 1
```

Largest 10 diffraction maxima, sorted by position, 5° ≤ 2θ ≤ 70°:
hkl 1 0 -1, 11.6°, intensity 100; hkl 1 1 0, 24.0°, intensity 16; hkl 0 0 3, 27.5°, intensity 20; hkl 2 1 -1, 29.8°, intensity 55; hkl 2 1 0, 30.5°, intensity 24; hkl 1 0 3, 32.7°, intensity 13; hkl 1 1 -3, 34.1°, intensity 17; hkl 4 0 -1, 41.7°, intensity 15; hkl 2 1 -4, 42.7°, intensity 26; hkl 0 2 0, 43.7°, intensity 17

---

Entry 6:
# Nb2FeSe4
Calculated X-ray powder pattern, Cu Ka. Input: a DFT-relaxed cell (PBE, OQMD).
Neutral-atom scattering factors, no anomalous dispersion.

```
data_Nb2FeSe4
_chemical_formula_sum 'Nb8 Fe4 Se16'
_space_group_name_H-M_alt 'P 63/m m c'
_space_group_IT_number 194
_space_group_name_Hall '-P 6c 2c'
_cell_length_a 7.2151
_cell_length_b 7.2151
_cell_length_c 12.5524
_cell_angle_alpha 90.00
_cell_angle_beta 90.00
_cell_angle_gamma 120.00
loop_
_atom_site_label
_atom_site_type_symbol
_atom_site_fract_x
_atom_site_fract_y
_atom_site_fract_z
_atom_site_occupancy
Nb1 Nb 0.0000 0.0000 0.2500 1
Nb2 Nb 0.0519 0.5260 0.2500 1
Fe1 Fe 0.0000 0.0000 0.0000 1
Fe2 Fe 0.3333 0.6667 0.7500 1
Se1 Se 0.1667 0.3334 0.6217 1
Se2 Se 0.3333 0.6667 0.0996 1
```

Largest 10 diffraction maxima, sorted by position, 5° ≤ 2θ ≤ 70°:
hkl 0 0 2, 14.1°, intensity 52; hkl 2 0 1, 29.5°, intensity 53; hkl 2 0 2, 32.0°, intensity 37; hkl 2 0 3, 35.9°, intensity 73; hkl 2 1 1, 38.8°, intensity 15; hkl 2 0 4, 40.8°, intensity 100; hkl 2 1 3, 44.0°, intensity 17; hkl 2 2 0, 50.6°, intensity 61; hkl 4 0 3, 63.6°, intensity 15; hkl 4 0 4, 66.9°, intensity 18

---

Entry 7:
# Cs2Hg6S7
Calculated X-ray powder pattern, Cu Ka. Input: a DFT-relaxed cell (PBE, OQMD).
Neutral-atom scattering factors, no anomalous dispersion.

```
data_Cs2Hg6S7
_chemical_formula_sum 'Cs4 Hg12 S14'
_space_group_name_H-M_alt 'P 42 n m'
_space_group_IT_number 102
_cell_length_a 14.2973
_cell_length_b 14.2973
_cell_length_c 4.2470
_cell_angle_alpha 90.00
_cell_angle_beta 90.00
_cell_angle_gamma 90.00
loop_
_space_group_symop_operation_xyz
'x,y,z'
'-y+1/2,x+1/2,z+1/2'
'-x,-y,z'
'y+1/2,-x+1/2,z+1/2'
'-x+1/2,y+1/2,z+1/2'
'y,x,z'
'x+1/2,-y+1/2,z+1/2'
'-y,-x,z'
loop_
_atom_site_label
_atom_site_type_symbol
_atom_site_fract_x
_atom_site_fract_y
_atom_site_fract_z
_atom_site_occupancy
Cs1 Cs 0.1694 0.1694 0.0000 1
Hg1 Hg 0.0731 0.6540 0.9999 1
Hg2 Hg 0.0982 0.9018 0.5936 1
S1 S 0.0000 0.0000 0.2742 1
S2 S 0.0235 0.3081 0.5000 1
S3 S 0.1822 0.8178 0.9904 1
```

Largest 10 diffraction maxima, sorted by position, 5° ≤ 2θ ≤ 70°:
hkl 4 0 0, 24.9°, intensity 29; hkl 2 1 1, 25.2°, intensity 29; hkl 4 1 0, 25.7°, intensity 46; hkl 3 3 0, 26.4°, intensity 20; hkl 2 2 1, 27.4°, intensity 100; hkl 3 2 1, 30.9°, intensity 21; hkl 4 3 0, 31.3°, intensity 21; hkl 0 0 2, 42.6°, intensity 20; hkl 6 1 1, 44.0°, intensity 39; hkl 6 3 1, 47.7°, intensity 21

---

Entry 8:
# GdScGe2Au2
Calculated X-ray powder pattern, Cu Ka. Input: a DFT-relaxed cell (PBE, OQMD).
Neutral-atom scattering factors, no anomalous dispersion.

```
data_GdScGe2Au2
_chemical_formula_sum 'Gd1 Sc1 Ge2 Au2'
_space_group_name_H-M_alt 'P 3 m 1'
_space_group_IT_number 156
_cell_length_a 4.4318
_cell_length_b 4.4318
_cell_length_c 7.1586
_cell_angle_alpha 90.00
_cell_angle_beta 90.00
_cell_angle_gamma 120.00
loop_
_space_group_symop_operation_xyz
'x,y,z'
'-y,x-y,z'
'-x+y,-x,z'
'-y,-x,z'
'-x+y,y,z'
'x,x-y,z'
loop_
_atom_site_label
_atom_site_type_symbol
_atom_site_fract_x
_atom_site_fract_y
_atom_site_fract_z
_atom_site_occupancy
Gd1 Gd 0.0000 0.0000 0.0000 1
Sc1 Sc 0.0000 0.0000 0.4986 1
Ge1 Ge 0.3333 0.6667 0.2160 1
Ge2 Ge 0.6667 0.3333 0.6954 1
Au1 Au 0.3333 0.6667 0.7771 1
Au2 Au 0.6667 0.3333 0.3099 1
```

Largest 10 diffraction maxima, sorted by position, 5° ≤ 2θ ≤ 70°:
hkl 0 0 2, 24.9°, intensity 16; hkl 1 0 1, 26.3°, intensity 76; hkl 0 1 2, 34.3°, intensity 100; hkl 1 1 0, 40.7°, intensity 91; hkl 1 0 3, 44.7°, intensity 34; hkl 1 1 2, 48.3°, intensity 17; hkl 0 2 1, 49.2°, intensity 15; hkl 2 0 2, 54.2°, intensity 27; hkl 1 1 4, 67.2°, intensity 16; hkl 1 2 2, 70.0°, intensity 25

---

Entry 9:
# Nd2Sm2I3Br2N
Calculated X-ray powder pattern, Cu Ka. Input: a DFT-relaxed cell (PBE, OQMD).
Neutral-atom scattering factors, no anomalous dispersion.

```
data_Nd2Sm2I3Br2N
_chemical_formula_sum 'Nd4 Sm4 I6 Br4 N2'
_space_group_name_H-M_alt 'C 1 2/m 1'
_space_group_IT_number 12
_cell_length_a 18.6868
_cell_length_b 3.9507
_cell_length_c 8.6274
_cell_angle_alpha 90.00
_cell_angle_beta 102.82
_cell_angle_gamma 90.00
loop_
_space_group_symop_operation_xyz
'x,y,z'
'-x,-y,-z'
'-x,y,-z'
'x,-y,z'
'x+1/2,y+1/2,z'
'-x+1/2,-y+1/2,-z'
'-x+1/2,y+1/2,-z'
'x+1/2,-y+1/2,z'
loop_
_atom_site_label
_atom_site_type_symbol
_atom_site_fract_x
_atom_site_fract_y
_atom_site_fract_z
_atom_site_occupancy
Nd1 Nd 0.1345 0.0000 0.0699 1
Sm1 Sm 0.0006 0.5000 0.8082 1
I1 I 0.0000 0.0000 0.5000 1
I2 I 0.1707 0.5000 0.8093 1
Br1 Br 0.1575 0.5000 0.3333 1
N1 N 0.0000 0.0000 0.0000 1
```

Largest 10 diffraction maxima, sorted by position, 5° ≤ 2θ ≤ 70°:
hkl 2 0 0, 9.7°, intensity 26; hkl 0 0 1, 10.5°, intensity 38; hkl 3 1 -1, 27.7°, intensity 18; hkl 6 0 0, 29.4°, intensity 45; hkl 3 1 1, 30.2°, intensity 19; hkl 1 1 -2, 30.7°, intensity 100; hkl 5 1 -1, 33.4°, intensity 37; hkl 5 1 2, 42.9°, intensity 27; hkl 7 1 -2, 43.2°, intensity 25; hkl 0 2 0, 45.9°, intensity 19

---

Entry 10:
# Li2LaNdTe2O2
Calculated X-ray powder pattern, Cu Ka. Input: a DFT-relaxed cell (PBE, OQMD).
Neutral-atom scattering factors, no anomalous dispersion.

```
data_Li2LaNdTe2O2
_chemical_formula_sum 'Li2 La1 Nd1 Te2 O2'
_space_group_name_H-M_alt 'P 4 m m'
_space_group_IT_number 99
_cell_length_a 4.1819
_cell_length_b 4.1819
_cell_length_c 9.5843
_cell_angle_alpha 90.00
_cell_angle_beta 90.00
_cell_angle_gamma 90.00
loop_
_space_group_symop_operation_xyz
'x,y,z'
'-y,x,z'
'-x,-y,z'
'y,-x,z'
'-x,y,z'
'y,x,z'
'x,-y,z'
'-y,-x,z'
loop_
_atom_site_label
_atom_site_type_symbol
_atom_site_fract_x
_atom_site_fract_y
_atom_site_fract_z
_atom_site_occupancy
Li1 Li 0.0000 0.5000 0.0000 1
La1 La 0.0000 0.0000 0.6180 1
Nd1 Nd 0.5000 0.5000 0.3796 1
Te1 Te 0.0000 0.0000 0.1833 1
Te2 Te 0.5000 0.5000 0.8183 1
O1 O 0.0000 0.5000 0.4970 1
```

Largest 10 diffraction maxima, sorted by position, 5° ≤ 2θ ≤ 70°:
hkl 0 0 1, 9.2°, intensity 24; hkl 1 0 2, 28.3°, intensity 100; hkl 1 1 0, 30.2°, intensity 45; hkl 1 0 3, 35.4°, intensity 22; hkl 1 1 2, 35.7°, intensity 9; hkl 2 0 0, 43.3°, intensity 24; hkl 1 1 4, 48.9°, intensity 12; hkl 2 1 2, 52.5°, intensity 36; hkl 2 1 3, 57.1°, intensity 11; hkl 1 1 5, 57.3°, intensity 13

---

Entry 11:
# Er3HfSn2C2
Calculated X-ray powder pattern, Cu Ka. Input: a DFT-relaxed cell (PBE, OQMD).
Neutral-atom scattering factors, no anomalous dispersion.

```
data_Er3HfSn2C2
_chemical_formula_sum 'Er3 Hf1 Sn2 C2'
_space_group_name_H-M_alt 'P 3 m 1'
_space_group_IT_number 156
_cell_length_a 3.5051
_cell_length_b 3.5051
_cell_length_c 15.4175
_cell_angle_alpha 90.00
_cell_angle_beta 90.00
_cell_angle_gamma 120.00
loop_
_space_group_symop_operation_xyz
'x,y,z'
'-y,x-y,z'
'-x+y,-x,z'
'-y,-x,z'
'-x+y,y,z'
'x,x-y,z'
loop_
_atom_site_label
_atom_site_type_symbol
_atom_site_fract_x
_atom_site_fract_y
_atom_site_fract_z
_atom_site_occupancy
Er1 Er 0.0000 0.0000 0.0000 1
Er2 Er 0.0000 0.0000 0.3357 1
Er3 Er 0.6667 0.3333 0.8272 1
Hf1 Hf 0.6667 0.3333 0.5004 1
Sn1 Sn 0.0000 0.0000 0.6565 1
Sn2 Sn 0.6667 0.3333 0.1695 1
C1 C 0.3333 0.6667 0.4289 1
C2 C 0.3333 0.6667 0.9132 1
```

Largest 10 diffraction maxima, sorted by position, 5° ≤ 2θ ≤ 70°:
hkl 0 0 2, 11.5°, intensity 5; hkl 1 0 0, 29.4°, intensity 23; hkl 0 1 3, 34.3°, intensity 100; hkl 0 0 6, 34.9°, intensity 20; hkl 1 0 6, 46.3°, intensity 15; hkl 1 1 0, 52.2°, intensity 21; hkl 2 0 0, 61.1°, intensity 3; hkl 0 1 9, 62.2°, intensity 17; hkl 2 0 3, 64.0°, intensity 17; hkl 1 1 6, 64.3°, intensity 21

---

Entry 12:
# ErNbO4
Calculated X-ray powder pattern, Cu Ka. Input: a DFT-relaxed cell (PBE, OQMD).
Neutral-atom scattering factors, no anomalous dispersion.

```
data_ErNbO4
_chemical_formula_sum 'Er2 Nb2 O8'
_space_group_name_H-M_alt 'P 1 2/c 1'
_space_group_IT_number 13
_cell_length_a 5.0818
_cell_length_b 5.3698
_cell_length_c 5.2792
_cell_angle_alpha 90.00
_cell_angle_beta 95.68
_cell_angle_gamma 90.00
loop_
_space_group_symop_operation_xyz
'x,y,z'
'-x,-y,-z'
'-x,y,-z+1/2'
'x,-y,z+1/2'
loop_
_atom_site_label
_atom_site_type_symbol
_atom_site_fract_x
_atom_site_fract_y
_atom_site_fract_z
_atom_site_occupancy
Er1 Er 0.0000 0.2422 0.2500 1
Nb1 Nb 0.5000 0.2913 0.7500 1
O1 O 0.2507 0.0691 0.5892 1
O2 O 0.2592 0.4437 0.9784 1
```

Largest 10 diffraction maxima, sorted by position, 5° ≤ 2θ ≤ 70°:
hkl 1 1 -1, 28.6°, intensity 100; hkl 1 1 1, 30.6°, intensity 83; hkl 0 2 0, 33.4°, intensity 20; hkl 0 0 2, 34.1°, intensity 21; hkl 2 0 0, 35.5°, intensity 16; hkl 2 0 -2, 47.4°, intensity 17; hkl 0 2 2, 48.5°, intensity 27; hkl 2 2 0, 49.5°, intensity 27; hkl 1 1 -3, 56.5°, intensity 16; hkl 3 1 -1, 58.4°, intensity 13